[1]
The following is a calculated powder X-ray diffraction pattern of La3Ge6Pd20. It was derived from a structure optimized by DFT (PBE), using Cu Kα X-rays.
Neutral-atom scattering factors, no anomalous dispersion.

Most intense lines, 2θ from 10° to 80°, in order of rising 2θ:
index  Position (°2θ)  Rel. int.
4 2 0  31.67  15
4 2 2  34.79  22
3 3 3  36.97  100
4 4 0  40.39  48
5 3 1  42.33  29
6 0 0  42.96  14
6 2 2  47.76  23
6 6 0  62.37  25
5 5 5  63.81  13
8 4 4  73.44  25

a = 12.6332 Å, b = 12.6332 Å, c = 12.6332 Å
α = 90.00°, β = 90.00°, γ = 90.00°
Space group Fm-3m (No. 225)
Unique sites:
La: 0.0000 0.0000 0.0000
La: 0.2500 0.2500 0.2500
Ge: 0.0000 0.0000 0.2683
Pd: 0.0000 0.1743 0.1743
Pd: 0.1166 0.1166 0.3834

---

[2]
The following is a calculated powder X-ray diffraction pattern of Dy4FeSn8. It was derived from a structure optimized by DFT (PBE), using Cu Kα X-rays.
Neutral-atom scattering factors, no anomalous dispersion.

Most intense lines, 2θ from 10° to 80°, in order of rising 2θ:
index  Position (°2θ)  Rel. int.
0 0 6  32.60  17
1 1 3  32.76  100
0 2 0  40.18  18
2 0 0  40.77  17
0 2 6  52.66  9
2 0 6  53.14  9
2 2 0  58.58  12
1 3 3  68.35  13
2 2 6  68.67  9
3 1 3  69.17  12

a = 4.4264 Å, b = 4.4884 Å, c = 16.4825 Å
α = 90.00°, β = 90.00°, γ = 90.00°
Space group Pmm2 (No. 25)
Unique sites:
Dy: 0.0000 0.0000 0.0000
Dy: 0.0000 0.5000 0.4910
Dy: 0.5000 0.0000 0.7915
Dy: 0.5000 0.5000 0.2975
Fe: 0.0000 0.5000 0.7010
Sn: 0.0000 0.0000 0.3288
Sn: 0.0000 0.0000 0.6329
Sn: 0.0000 0.5000 0.1476
Sn: 0.0000 0.5000 0.8513
Sn: 0.5000 0.0000 0.1505
Sn: 0.5000 0.0000 0.4567
Sn: 0.5000 0.5000 0.6312
Sn: 0.5000 0.5000 0.9728

---

[3]
The following is a calculated powder X-ray diffraction pattern of K2BaMgF6. It was derived from a structure optimized by DFT (PBE), using Cu Kα X-rays.
Neutral-atom scattering factors, no anomalous dispersion.

Most intense lines, 2θ from 10° to 80°, in order of rising 2θ:
index  Position (°2θ)  Rel. int.
0 1 1  17.08  52
1 1 -1  19.92  93
0 2 0  27.88  48
1 1 1  28.22  100
1 1 -3  28.48  100
2 0 -2  28.67  41
1 2 0  33.00  35
2 1 -1  33.45  44
2 2 -2  40.42  70
3 1 -5  50.82  39

a = 6.2272 Å, b = 6.3998 Å, c = 10.7866 Å
α = 90.00°, β = 124.57°, γ = 90.00°
Space group P2_1/c (No. 14)
Unique sites:
K: 0.2364 0.0454 0.2513
Ba: 0.5000 0.0000 0.0000
Mg: 0.0000 0.0000 0.5000
F: 0.1131 0.2379 0.9410
F: 0.2158 0.6786 0.9534
F: 0.3150 0.0409 0.7170

---

[4]
The following is a calculated powder X-ray diffraction pattern of Rb2CuC2O7. It was derived from a structure optimized by DFT (PBE), using Cu Kα X-rays.
Neutral-atom scattering factors, no anomalous dispersion.

Most intense lines, 2θ from 10° to 80°, in order of rising 2θ:
index  Position (°2θ)  Rel. int.
0 2 0  12.20  28
1 3 0  21.13  100
2 2 0  24.28  22
0 4 0  24.54  22
2 1 -1  25.44  57
2 1 1  25.88  38
0 0 2  26.92  23
2 3 -1  30.92  23
2 0 2  34.63  29
0 4 2  36.76  50

a = 8.4967 Å, b = 14.5080 Å, c = 6.6248 Å
α = 90.00°, β = 91.12°, γ = 90.00°
Space group P2_1/c (No. 14)
Unique sites:
Rb: 0.1017 0.1128 0.2175
Rb: 0.3860 0.1032 0.7445
Cu: 0.2482 0.7288 0.0707
C: 0.0654 0.6373 0.7583
C: 0.4421 0.6366 0.2335
O: 0.0319 0.0719 0.7532
O: 0.0659 0.6937 0.9146
O: 0.1647 0.6507 0.6108
O: 0.2547 0.2450 0.4820
O: 0.3554 0.6102 0.0758
O: 0.4081 0.7231 0.2841
O: 0.4596 0.0867 0.1784

---

[5]
The following is a calculated powder X-ray diffraction pattern of Sm3Er4In. It was derived from a structure optimized by DFT (PBE), using Cu Kα X-rays.
Neutral-atom scattering factors, no anomalous dispersion.

Most intense lines, 2θ from 10° to 80°, in order of rising 2θ:
index  Position (°2θ)  Rel. int.
0 0 2  28.90  12
0 2 1  29.18  24
4 0 0  31.92  37
2 0 2  33.10  50
2 2 1  33.35  100
4 2 1  43.79  15
0 2 3  51.38  19
6 2 1  57.80  19
4 2 3  61.78  21
2 4 2  62.96  15

a = 11.2145 Å, b = 7.0455 Å, c = 6.1798 Å
α = 90.00°, β = 90.00°, γ = 90.00°
Space group Pmn2_1 (No. 31)
Unique sites:
Sm: 0.0000 0.1279 0.0000
Sm: 0.2388 0.1162 0.3453
Er: 0.0000 0.3785 0.5380
Er: 0.0000 0.6285 0.0179
Er: 0.2401 0.6235 0.3618
In: 0.0000 0.8635 0.5242